No. 1
For La3Ce3TmSe8, a structure optimized by DFT (GGA-PBE) gives the calculated powder XRD pattern in this record (CuKα).
Neutral-atom scattering factors, no anomalous dispersion.

Most intense lines, 2θ = 5–70°, in order of rising 2θ:
| Position (°2θ) | Rel. int. |
| --- | --- |
| 12.65 | 5 |
| 12.82 | 9 |
| 24.65 | 5 |
| 25.79 | 7 |
| 29.78 | 100 |
| 42.40 | 37 |
| 42.82 | 37 |
| 50.48 | 2 |
| 52.31 | 7 |
| 53.03 | 19 |
| 61.84 | 12 |
| 69.82 | 17 |

Structure:
Cell: 8.5281 8.5281 8.5281 Å, 59.37 59.37 59.37°
Sites, in units of the cell vectors:
1 La 0.0000 0.5000 0.5000
2 La 0.5000 0.0000 0.5000
3 La 0.5000 0.5000 0.0000
4 Ce 0.0000 0.0000 0.5000
5 Ce 0.0000 0.5000 0.0000
6 Ce 0.5000 0.0000 0.0000
7 Tm 0.5000 0.5000 0.5000
8 Se 0.2480 0.2480 0.2480
9 Se 0.2551 0.7410 0.7410
10 Se 0.2590 0.2590 0.7449
11 Se 0.2590 0.7449 0.2590
12 Se 0.7410 0.2551 0.7410
13 Se 0.7410 0.7410 0.2551
14 Se 0.7449 0.2590 0.2590
15 Se 0.7520 0.7520 0.7520

=====

No. 2
For LaCeSm, a structure optimized by DFT (GGA-PBE) gives the calculated powder XRD pattern in this record (CuKα).
Neutral-atom scattering factors, no anomalous dispersion.

Most intense lines, 2θ = 5–70°, in order of rising 2θ:
| Position (°2θ) | Rel. int. |
| --- | --- |
| 25.52 | 3 |
| 31.29 | 100 |
| 40.77 | 4 |
| 44.84 | 18 |
| 52.43 | 4 |
| 55.65 | 29 |
| 62.14 | 1 |
| 62.31 | 14 |
| 65.18 | 6 |

Structure:
Cell: 5.7252 5.7252 3.4904 Å, 90.00 90.00 120.00°
Sites, in units of the cell vectors:
1 La 0.0000 0.0000 0.0000
2 Ce 0.3333 0.6667 0.0000
3 Sm 0.6667 0.3333 0.5000